Li3Fe4B4O12: calculated powder X-ray diffraction pattern (a wavelength of 1.5418 Å), based on the PBE+U geometry in the Materials Project.
Kinematic intensities with the Lorentz-polarization factor, no thermal factor.

Atomic structure:
```
data_Li3Fe4B4O12
_space_group_name_H-M_alt 'P 1'
_space_group_IT_number 1
_cell_length_a 5.2378
_cell_length_b 9.0374
_cell_length_c 11.4616
_cell_angle_alpha 66.98
_cell_angle_beta 78.00
_cell_angle_gamma 89.39
loop_
_space_group_symop_operation_xyz
'x,y,z'
loop_
_atom_site_label
_atom_site_fract_x
_atom_site_fract_y
_atom_site_fract_z
Li1 0.0000 0.0000 0.0000
Li2 0.0631 0.4073 0.2354
Li3 0.2514 0.2690 0.4888
Li4 0.3233 0.6293 0.7325
Li5 0.5595 0.8956 0.2381
Li6 0.8117 0.1331 0.7348
Fe1 0.0413 0.7060 0.2758
Fe2 0.2483 0.9099 0.5116
Fe3 0.3013 0.2800 0.7730
Fe4 0.4812 0.8208 0.0232
Fe5 0.5501 0.2140 0.2716
Fe6 0.7321 0.4274 0.5193
Fe7 0.7969 0.7894 0.7643
Fe8 0.9907 0.3315 0.0229
B1 0.0495 0.0463 0.2620
B2 0.2365 0.5693 0.5269
B3 0.2816 0.9483 0.7748
B4 0.4990 0.1596 0.0248
B5 0.5360 0.5403 0.2741
B6 0.7400 0.0788 0.5314
B7 0.7934 0.4531 0.7791
B8 0.9841 0.6671 0.0194
O1 0.0258 0.5906 0.4690
O2 0.0310 0.4323 0.8227
O3 0.0859 0.5194 0.0452
O4 0.0863 0.7753 0.0602
O5 0.1345 0.0696 0.7900
O6 0.1847 0.8336 0.7387
O7 0.2553 0.1859 0.9892
O8 0.2846 0.0222 0.3031
O9 0.3365 0.4146 0.5664
O10 0.3470 0.6878 0.5493
O11 0.3825 0.4055 0.2918
O12 0.4411 0.6930 0.2316
O13 0.5101 0.0990 0.4856
O14 0.5326 0.9371 0.8005
O15 0.6178 0.2711 0.0562
O16 0.6194 0.0218 0.0316
O17 0.6671 0.5898 0.7670
O18 0.6966 0.3370 0.7455
O19 0.7792 0.7073 0.9562
O20 0.7800 0.5207 0.3033
O21 0.8419 0.9267 0.5732
O22 0.8717 0.2040 0.5398
O23 0.9076 0.9259 0.2547
O24 0.9593 0.2039 0.2242
```

Peak list (8 most intense, 2θ = 5–70°, low angle first)
hkl 0 2 1, 19.7 deg, intensity 79; hkl 1 1 2, 21.6 deg, intensity 63; hkl 1 -1 1, 21.7 deg, intensity 44; hkl -1 1 2, 26.0 deg, intensity 36; hkl 1 1 3, 26.5 deg, intensity 36; hkl 1 3 2, 34.2 deg, intensity 61; hkl 0 0 4, 34.9 deg, intensity 100; hkl -2 2 1, 40.8 deg, intensity 40

Li9Mn2Co5O16: calculated powder X-ray diffraction pattern (a wavelength of 1.5418 Å), based on the PBE+U geometry in the Materials Project.
Kinematic intensities with the Lorentz-polarization factor, no thermal factor.

Atomic structure:
```
data_Li9Mn2Co5O16
_space_group_name_H-M_alt 'C 1 2/m 1'
_space_group_IT_number 12
_cell_length_a 11.7735
_cell_length_b 5.8404
_cell_length_c 10.1359
_cell_angle_alpha 90.00
_cell_angle_beta 124.38
_cell_angle_gamma 90.00
loop_
_space_group_symop_operation_xyz
'x,y,z'
'-x,-y,-z'
'-x,y,-z'
'x,-y,z'
'x+1/2,y+1/2,z'
'-x+1/2,-y+1/2,-z'
'-x+1/2,y+1/2,-z'
'x+1/2,-y+1/2,z'
loop_
_atom_site_label
_atom_site_fract_x
_atom_site_fract_y
_atom_site_fract_z
Li1 0.0000 0.0000 0.0000
Li2 0.2449 0.0000 0.9946
Li3 0.2467 0.2488 0.2424
Li4 0.2496 0.0000 0.4997
Mn1 0.0000 0.5000 0.0000
Mn2 0.0000 0.5000 0.5000
Co1 0.0000 0.0000 0.5000
Co2 0.0015 0.2427 0.7588
O1 0.1055 0.5000 0.7328
O2 0.1122 0.2591 0.4969
O3 0.1142 0.2662 0.9913
O4 0.1143 0.5000 0.2311
O5 0.1161 0.0000 0.7434
O6 0.1172 0.0000 0.2581
```

Peak list (8 most intense, 2θ = 5–70°, low angle first)
hkl 2 0 0, 18.3 deg, intensity 100; hkl 2 0 -4, 35.9 deg, intensity 14; hkl 2 2 -2, 36.1 deg, intensity 26; hkl 0 0 4, 43.3 deg, intensity 27; hkl 4 2 -2, 43.7 deg, intensity 54; hkl 6 2 -2, 57.5 deg, intensity 10; hkl 4 2 2, 62.7 deg, intensity 15; hkl 4 2 -6, 63.6 deg, intensity 14

KCaDyWO6: calculated powder X-ray diffraction pattern (a wavelength of 1.5418 Å), based on the PBE+U geometry in the Materials Project.
Kinematic intensities with the Lorentz-polarization factor, no thermal factor.

Atomic structure:
```
data_KCaDyWO6
_space_group_name_H-M_alt 'F -4 3 m'
_space_group_IT_number 216
_space_group_name_Hall 'F -4 2 3'
_cell_length_a 8.3460
_cell_length_b 8.3460
_cell_length_c 8.3460
_cell_angle_alpha 90.00
_cell_angle_beta 90.00
_cell_angle_gamma 90.00
loop_
_atom_site_label
_atom_site_fract_x
_atom_site_fract_y
_atom_site_fract_z
K1 0.0000 0.0000 0.0000
Ca1 0.0000 0.0000 0.5000
Dy1 0.2500 0.2500 0.2500
W1 0.2500 0.2500 0.7500
O1 0.0166 0.2500 0.7500
```

Peak list (8 most intense, 2θ = 5–70°, low angle first)
hkl 2 0 0, 21.3 deg, intensity 66; hkl 2 2 0, 30.3 deg, intensity 100; hkl 2 2 2, 37.3 deg, intensity 7; hkl 4 0 0, 43.4 deg, intensity 32; hkl 4 2 0, 48.8 deg, intensity 30; hkl 4 2 2, 53.8 deg, intensity 40; hkl 4 4 0, 63.0 deg, intensity 20; hkl 6 0 0, 67.3 deg, intensity 14

LiMnF4: calculated powder X-ray diffraction pattern (a wavelength of 1.5418 Å), based on the PBE+U geometry in the Materials Project.
Kinematic intensities with the Lorentz-polarization factor, no thermal factor.

Atomic structure:
```
data_LiMnF4
_space_group_name_H-M_alt 'P n a 21'
_space_group_IT_number 33
_cell_length_a 9.6504
_cell_length_b 5.1944
_cell_length_c 5.7565
_cell_angle_alpha 90.00
_cell_angle_beta 90.00
_cell_angle_gamma 90.00
loop_
_space_group_symop_operation_xyz
'x,y,z'
'-x,-y,z+1/2'
'-x+1/2,y+1/2,z+1/2'
'x+1/2,-y+1/2,z'
loop_
_atom_site_label
_atom_site_fract_x
_atom_site_fract_y
_atom_site_fract_z
Li1 0.0103 0.0047 0.0000
Mn1 0.1488 0.4649 0.6550
F1 0.0111 0.7134 0.2581
F2 0.0597 0.7672 0.7481
F3 0.1978 0.1646 0.5039
F4 0.2057 0.1415 0.0207
```

Peak list (8 most intense, 2θ = 5–70°, low angle first)
hkl 1 1 0, 19.4 deg, intensity 22; hkl 2 0 1, 24.1 deg, intensity 100; hkl 1 1 1, 24.9 deg, intensity 98; hkl 0 0 2, 31.1 deg, intensity 22; hkl 2 0 2, 36.3 deg, intensity 32; hkl 1 1 2, 36.9 deg, intensity 24; hkl 4 1 0, 41.3 deg, intensity 21; hkl 3 1 2, 45.8 deg, intensity 23

MgMn6O7F5: calculated powder X-ray diffraction pattern (a wavelength of 1.5418 Å), based on the PBE+U geometry in the Materials Project.
Kinematic intensities with the Lorentz-polarization factor, no thermal factor.

Atomic structure:
```
data_MgMn6O7F5
_space_group_name_H-M_alt 'P 1'
_space_group_IT_number 1
_cell_length_a 5.2509
_cell_length_b 5.8192
_cell_length_c 7.6449
_cell_angle_alpha 83.47
_cell_angle_beta 85.74
_cell_angle_gamma 82.60
loop_
_space_group_symop_operation_xyz
'x,y,z'
loop_
_atom_site_label
_atom_site_fract_x
_atom_site_fract_y
_atom_site_fract_z
Mg1 0.0000 0.0000 0.0000
Mn1 0.0079 0.9838 0.5097
Mn2 0.0665 0.4424 0.2411
Mn3 0.5216 0.1520 0.8254
Mn4 0.5232 0.4905 0.5087
Mn5 0.5427 0.8206 0.1636
Mn6 0.9514 0.6107 0.8021
O1 0.1724 0.6641 0.5840
O2 0.4083 0.5465 0.2698
O3 0.6366 0.1173 0.0565
O4 0.6426 0.4409 0.7464
O5 0.8411 0.2893 0.4293
O6 0.8547 0.9457 0.7513
O7 0.8757 0.6750 0.0583
F1 0.1331 0.3046 0.9257
F2 0.1738 0.0098 0.2417
F3 0.3441 0.8621 0.9180
F4 0.3475 0.1605 0.6031
F5 0.7125 0.8088 0.4066
```

Peak list (8 most intense, 2θ = 5–70°, low angle first)
hkl 1 1 1, 23.3 deg, intensity 100; hkl -1 1 1, 26.9 deg, intensity 97; hkl 1 1 -2, 34.1 deg, intensity 30; hkl 2 0 0, 34.6 deg, intensity 88; hkl 1 2 -1, 37.3 deg, intensity 28; hkl 1 0 3, 38.7 deg, intensity 26; hkl 1 3 0, 48.7 deg, intensity 31; hkl 2 -2 1, 52.0 deg, intensity 27

ZnMo2P2O10: calculated powder X-ray diffraction pattern (a wavelength of 1.5418 Å), based on the PBE+U geometry in the Materials Project.
Kinematic intensities with the Lorentz-polarization factor, no thermal factor.

Atomic structure:
```
data_ZnMo2P2O10
_space_group_name_H-M_alt 'F d d 2'
_space_group_IT_number 43
_space_group_name_Hall 'F 2 -2d'
_cell_length_a 11.8875
_cell_length_b 16.0133
_cell_length_c 7.5381
_cell_angle_alpha 90.00
_cell_angle_beta 90.00
_cell_angle_gamma 90.00
loop_
_atom_site_label
_atom_site_fract_x
_atom_site_fract_y
_atom_site_fract_z
Zn1 0.0000 0.0000 0.0000
Mo1 0.1237 0.3763 0.8924
P1 0.0011 0.2033 0.0193
O1 0.0013 0.0795 0.5197
O2 0.0121 0.3559 0.6783
O3 0.0145 0.1462 0.8565
O4 0.1041 0.2389 0.4874
O5 0.1069 0.2612 0.0526
```

Peak list (8 most intense, 2θ = 5–70°, low angle first)
hkl 1 3 1, 21.7 deg, intensity 63; hkl 3 1 1, 26.0 deg, intensity 94; hkl 2 0 2, 28.0 deg, intensity 38; hkl 2 2 2, 30.2 deg, intensity 87; hkl 3 3 1, 30.5 deg, intensity 39; hkl 1 5 1, 31.3 deg, intensity 100; hkl 5 1 1, 40.2 deg, intensity 35; hkl 2 6 2, 44.3 deg, intensity 35

Li9Mn2Co5O16: calculated powder X-ray diffraction pattern (a wavelength of 1.5418 Å), based on the PBE+U geometry in the Materials Project.
Kinematic intensities with the Lorentz-polarization factor, no thermal factor.

Atomic structure:
```
data_Li9Mn2Co5O16
_space_group_name_H-M_alt 'P 1 2 1'
_space_group_IT_number 3
_cell_length_a 5.8432
_cell_length_b 5.8110
_cell_length_c 8.4735
_cell_angle_alpha 90.00
_cell_angle_beta 90.31
_cell_angle_gamma 90.00
loop_
_space_group_symop_operation_xyz
'x,y,z'
'-x,y,-z'
loop_
_atom_site_label
_atom_site_fract_x
_atom_site_fract_y
_atom_site_fract_z
Li1 0.0000 0.9998 0.0000
Li2 0.0000 0.0000 0.5000
Li3 0.0000 0.5071 0.0000
Li4 0.2458 0.2520 0.2572
Li5 0.2470 0.7546 0.2587
Li6 0.5000 0.0012 0.5000
Li7 0.5000 0.5041 0.5000
Mn1 0.2451 0.2562 0.7478
Co1 0.0000 0.5026 0.5000
Co2 0.2417 0.7586 0.7431
Co3 0.5000 0.0018 0.0000
Co4 0.5000 0.5092 0.0000
O1 0.0144 0.4900 0.7577
O2 0.0247 0.0064 0.7542
O3 0.2314 0.7329 0.5099
O4 0.2340 0.2661 0.5218
O5 0.2668 0.2534 0.9817
O6 0.2678 0.7556 0.9985
O7 0.4772 0.5014 0.7568
O8 0.4858 0.0177 0.7509
```

Peak list (8 most intense, 2θ = 5–70°, low angle first)
hkl 1 0 -1, 18.4 deg, intensity 100; hkl 1 0 3, 35.4 deg, intensity 16; hkl 1 2 1, 36.1 deg, intensity 26; hkl 0 2 2, 37.5 deg, intensity 11; hkl 0 0 4, 42.7 deg, intensity 29; hkl 2 2 0, 44.0 deg, intensity 53; hkl 2 2 -4, 62.8 deg, intensity 15; hkl 2 2 4, 63.1 deg, intensity 15

Li2Mn3CuO8: calculated powder X-ray diffraction pattern (a wavelength of 1.5418 Å), based on the PBE+U geometry in the Materials Project.
Kinematic intensities with the Lorentz-polarization factor, no thermal factor.

Atomic structure:
```
data_Li2Mn3CuO8
_space_group_name_H-M_alt 'C 1 c 1'
_space_group_IT_number 9
_cell_length_a 5.8227
_cell_length_b 10.0769
_cell_length_c 9.6733
_cell_angle_alpha 90.00
_cell_angle_beta 92.64
_cell_angle_gamma 90.00
loop_
_space_group_symop_operation_xyz
'x,y,z'
'x,-y,z+1/2'
'x+1/2,y+1/2,z'
'x+1/2,-y+1/2,z+1/2'
loop_
_atom_site_label
_atom_site_fract_x
_atom_site_fract_y
_atom_site_fract_z
Li1 0.0000 0.9998 0.0000
Li2 0.4775 0.1667 0.1060
Mn1 0.2353 0.4161 0.2811
Mn2 0.2403 0.0853 0.7821
Mn3 0.4856 0.3315 0.7814
Cu1 0.4895 0.1663 0.5028
O1 0.1999 0.2593 0.1614
O2 0.2322 0.0797 0.3920
O3 0.2506 0.2423 0.6724
O4 0.2577 0.4216 0.8889
O5 0.4775 0.0180 0.6660
O6 0.4807 0.4998 0.1844
O7 0.4932 0.3419 0.3914
O8 0.4955 0.1664 0.8882
```

Peak list (8 most intense, 2θ = 5–70°, low angle first)
hkl 0 0 2, 18.4 deg, intensity 100; hkl 1 1 -1, 19.5 deg, intensity 53; hkl 0 2 1, 19.9 deg, intensity 55; hkl 1 1 1, 20.2 deg, intensity 56; hkl 1 3 -2, 35.7 deg, intensity 60; hkl 1 3 2, 36.5 deg, intensity 61; hkl 2 0 2, 36.8 deg, intensity 43; hkl 2 6 0, 64.0 deg, intensity 64

MgV4O5F7: calculated powder X-ray diffraction pattern (a wavelength of 1.5418 Å), based on the PBE+U geometry in the Materials Project.
Kinematic intensities with the Lorentz-polarization factor, no thermal factor.

Atomic structure:
```
data_MgV4O5F7
_space_group_name_H-M_alt 'P 1'
_space_group_IT_number 1
_cell_length_a 5.1486
_cell_length_b 5.4118
_cell_length_c 9.0265
_cell_angle_alpha 73.43
_cell_angle_beta 75.81
_cell_angle_gamma 64.05
loop_
_space_group_symop_operation_xyz
'x,y,z'
loop_
_atom_site_label
_atom_site_fract_x
_atom_site_fract_y
_atom_site_fract_z
Mg1 0.0000 0.0000 0.0000
V1 0.2562 0.9953 0.5889
V2 0.4647 0.3012 0.8315
V3 0.6824 0.5166 0.1090
V4 0.9258 0.7470 0.3471
O1 0.3793 0.1484 0.6802
O2 0.4318 0.6156 0.7149
O3 0.5644 0.9009 0.4230
O4 0.5796 0.3020 0.0108
O5 0.9017 0.6932 0.1549
F1 0.0016 0.3569 0.4634
F2 0.0429 0.8295 0.5216
F3 0.0486 0.3983 0.9259
F4 0.3708 0.5859 0.2835
F5 0.4289 0.8845 0.9747
F6 0.8960 0.0476 0.7861
F7 0.9518 0.1107 0.2145
```

Peak list (8 most intense, 2θ = 5–70°, low angle first)
hkl 0 1 -1, 23.1 deg, intensity 100; hkl 1 0 -1, 23.2 deg, intensity 97; hkl 1 1 2, 24.5 deg, intensity 93; hkl 0 1 3, 33.1 deg, intensity 23; hkl 1 2 1, 33.3 deg, intensity 23; hkl 0 2 -2, 47.3 deg, intensity 26; hkl 1 3 0, 53.0 deg, intensity 27; hkl 1 2 5, 54.8 deg, intensity 23

What is the formula in the sixth record?
ZnMo2P2O10